This entry pairs a crystal structure of NdCo3B4O12 with its calculated PXRD pattern. Radiation: copper Kα. Structure: a crystal structure in Alexandria, relaxed with PBE+U.
Lines closer than 0.1° are merged.

Structural model:
Cell: 5.969 5.969 5.969 Å, 104.09 104.09 104.09°
Fractional positions:
1 Nd 0.000 0.000 0.000
2 Co 0.000 0.559 0.441
3 Co 0.441 0.000 0.559
4 Co 0.559 0.441 0.000
5 B 0.063 0.500 0.937
6 B 0.500 0.500 0.500
7 B 0.500 0.937 0.063
8 B 0.937 0.063 0.500
9 O 0.029 0.625 0.775
10 O 0.086 0.914 0.500
11 O 0.225 0.375 0.971
12 O 0.352 0.648 0.500
13 O 0.375 0.971 0.225
14 O 0.500 0.086 0.914
15 O 0.500 0.352 0.648
16 O 0.625 0.775 0.029
17 O 0.648 0.500 0.352
18 O 0.775 0.029 0.625
19 O 0.914 0.500 0.086
20 O 0.971 0.225 0.375

Main lines, low angle first (15 to 90 degrees two-theta):
- 2θ = 18.86°, I = 26
- 2θ = 24.94°, I = 88
- 2θ = 31.45°, I = 30
- 2θ = 32.67°, I = 100
- 2θ = 47.09°, I = 26
- 2θ = 53.82°, I = 24